Diffraction record for Cr3CuNi2O8. The X-ray powder pattern is theoretical, not measured: it uses DFT lattice parameters and positions (PBE+U) and Cu Kα.

```
Cr3CuNi2O8
1.0
2.9703 1.7149 4.8334
-2.9703 1.7149 4.8334
0.0000 -3.4298 4.8334
Cr Cu Ni O
3 1 2 8
direct
0.1679 0.1679 0.6642
0.1679 0.6642 0.1679
0.6642 0.1679 0.1679
0.5457 0.5457 0.5457
0.1673 0.1673 0.1673
0.7894 0.7894 0.7894
0.3936 0.9217 0.9217
0.4056 0.4056 0.4056
0.4097 0.4097 0.9497
0.4097 0.9497 0.4097
0.9217 0.3936 0.9217
0.9217 0.9217 0.3936
0.9243 0.9243 0.9243
0.9497 0.4097 0.4097
```

Largest 6 diffraction maxima, by angle, 10 to 90 degrees two-theta:
2θ 30.1, rel. 35
2θ 35.5, rel. 100
2θ 43.1, rel. 15
2θ 57.0, rel. 28
2θ 62.5, rel. 22
2θ 62.7, rel. 21